1.
KZnN: simulated X-ray powder pattern (Cu Kα (λ = 1.5418 Å)), based on the PBE geometry in the Materials Project.
Peak positions follow from Bragg's law for the DFT cell and can differ from measured ones.

Main lines, by angle (10 to 90 degrees two-theta):
| two_theta | I/Imax | h k l |
| --- | --- | --- |
| 15.7 | 805 | 1 0 1 |
| 17.1 | 825 | 2 0 0 |
| 27.9 | 394 | 1 0 2 |
| 29.0 | 972 | 3 0 1 |
| 30.5 | 722 | 2 1 0 |
| 33.4 | 360 | 2 1 1 |
| 37.1 | 427 | 4 0 1 |
| 37.3 | 403 | 3 0 2 |
| 37.9 | 1000 | 1 1 2 |
| 52.9 | 485 | 5 1 1 |

Lattice parameters (Å, degrees): 10.382 3.549 6.711 90.00 90.00 90.00
Space group Pnma (No. 62)
Inequivalent atoms, fractional coordinates:
K 0.160 0.250 0.046 [4 per cell]
Zn 0.048 0.250 0.619 [4 per cell]
N 0.076 0.750 0.710 [4 per cell]

***

2.
HoMnGa: simulated X-ray powder pattern (Cu Kα (λ = 1.5418 Å)), based on the PBE geometry in the Materials Project.
Peak positions follow from Bragg's law for the DFT cell and can differ from measured ones.

Main lines, by angle (10 to 90 degrees two-theta):
| two_theta | I/Imax | h k l |
| --- | --- | --- |
| 24.9 | 126 | 0 3 1 |
| 28.9 | 184 | 0 2 2 |
| 33.8 | 1000 | 2 3 1 |
| 36.8 | 319 | 2 4 0 |
| 36.9 | 601 | 2 2 2 |
| 38.4 | 279 | 0 5 1 |
| 38.6 | 147 | 0 1 3 |
| 45.8 | 238 | 4 0 0 |
| 61.2 | 139 | 4 5 1 |
| 70.3 | 148 | 2 8 2 |

Lattice parameters (Å, degrees): 7.928 12.428 7.131 90.00 90.00 90.00
Space group Ima2 (No. 46)
Inequivalent atoms, fractional coordinates:
Ho 0.250 0.000 0.000 [4 per cell]
Ho 0.250 0.203 0.628 [4 per cell]
Ho 0.250 0.706 0.131 [4 per cell]
Mn 0.000 0.000 0.662 [4 per cell]
Mn 0.002 0.165 0.924 [8 per cell]
Ga 0.003 0.128 0.298 [8 per cell]
Ga 0.250 0.503 0.925 [4 per cell]

***

3.
La8Hf4MgO20: simulated X-ray powder pattern (Cu Kα (λ = 1.5418 Å)), based on the PBE geometry in the Materials Project.
Peak positions follow from Bragg's law for the DFT cell and can differ from measured ones.

Main lines, by angle (10 to 90 degrees two-theta):
| two_theta | I/Imax | h k l |
| --- | --- | --- |
| 23.5 | 268 | 1 0 3 |
| 27.2 | 631 | 2 0 -3 |
| 27.5 | 1000 | 2 1 0 |
| 31.8 | 394 | 0 1 3 |
| 32.8 | 258 | 1 1 -3 |
| 45.4 | 231 | 4 1 -3 |
| 45.9 | 416 | 0 2 0 |
| 48.6 | 159 | 5 1 -2 |
| 51.7 | 199 | 1 1 6 |
| 54.2 | 281 | 2 2 -3 |

Lattice parameters (Å, degrees): 11.362 3.949 12.045 90.00 90.07 90.00
Space group Pm (No. 6)
Inequivalent atoms, fractional coordinates:
La 0.000 0.000 0.000 [1 per cell]
La 0.010 0.000 0.303 [1 per cell]
La 0.229 0.500 0.723 [1 per cell]
La 0.264 0.500 0.087 [1 per cell]
La 0.483 0.000 0.577 [1 per cell]
La 0.517 0.000 0.241 [1 per cell]
La 0.706 0.500 0.795 [1 per cell]
La 0.754 0.500 0.461 [1 per cell]
Hf 0.299 0.500 0.398 [1 per cell]
Hf 0.436 0.000 0.897 [1 per cell]
Hf 0.803 0.500 0.141 [1 per cell]
Hf 0.957 0.000 0.635 [1 per cell]
Mg 0.961 0.500 0.819 [1 per cell]
O 0.106 0.500 0.916 [1 per cell]
O 0.128 0.000 0.634 [1 per cell]
O 0.133 0.500 0.360 [1 per cell]
O 0.151 0.000 0.134 [1 per cell]
O 0.354 0.000 0.748 [1 per cell]
O 0.355 0.500 0.559 [1 per cell]
O 0.358 0.000 0.402 [1 per cell]
O 0.382 0.500 0.902 [1 per cell]
O 0.388 0.500 0.252 [1 per cell]
O 0.403 0.000 0.062 [1 per cell]
O 0.603 0.000 0.850 [1 per cell]
O 0.609 0.500 0.629 [1 per cell]
O 0.625 0.000 0.422 [1 per cell]
O 0.635 0.500 0.180 [1 per cell]
O 0.848 0.500 0.969 [1 per cell]
O 0.852 0.000 0.143 [1 per cell]
O 0.869 0.500 0.648 [1 per cell]
O 0.872 0.500 0.298 [1 per cell]
O 0.893 0.000 0.479 [1 per cell]
O 0.900 0.000 0.800 [1 per cell]

***

4.
MgSi: simulated X-ray powder pattern (Cu Kα (λ = 1.5418 Å)), based on the PBE geometry in the Materials Project.
Peak positions follow from Bragg's law for the DFT cell and can differ from measured ones.

Main lines, by angle (10 to 90 degrees two-theta):
| two_theta | I/Imax | h k l |
| --- | --- | --- |
| 22.0 | 273 | 0 1 1 |
| 31.4 | 408 | 1 1 -1 |
| 35.1 | 400 | 1 -2 1 |
| 36.0 | 814 | -1 1 3 |
| 36.5 | 546 | 0 2 0 |
| 36.6 | 429 | 0 2 -2 |
| 36.9 | 362 | 1 1 -3 |
| 37.5 | 795 | 1 0 3 |
| 38.9 | 350 | 1 0 -4 |
| 40.5 | 1000 | 2 -1 0 |

Lattice parameters (Å, degrees): 4.495 5.363 10.248 101.37 95.72 108.67
Space group P-1 (No. 2)
Inequivalent atoms, fractional coordinates:
Mg 0.092 0.195 0.339 [2 per cell]
Mg 0.315 0.677 0.905 [2 per cell]
Mg 0.389 0.770 0.225 [2 per cell]
Si 0.096 0.122 0.916 [2 per cell]
Si 0.210 0.392 0.622 [2 per cell]
Si 0.357 0.758 0.494 [2 per cell]

***

5.
DyCu2: simulated X-ray powder pattern (Cu Kα (λ = 1.5418 Å)), based on the PBE geometry in the Materials Project.
Peak positions follow from Bragg's law for the DFT cell and can differ from measured ones.

Main lines, by angle (10 to 90 degrees two-theta):
| two_theta | I/Imax | h k l |
| --- | --- | --- |
| 24.0 | 219 | 1 0 1 |
| 35.0 | 329 | 1 1 2 |
| 35.9 | 1000 | 1 2 1 |
| 36.3 | 406 | 0 2 2 |
| 41.8 | 138 | 0 3 1 |
| 41.9 | 321 | 2 0 0 |
| 43.0 | 426 | 1 0 3 |
| 56.6 | 220 | 2 2 2 |
| 70.0 | 164 | 1 3 4 |
| 72.6 | 123 | 3 2 1 |

Lattice parameters (Å, degrees): 4.309 6.795 7.240 90.00 90.00 90.00
Space group Imma (No. 74)
Inequivalent atoms, fractional coordinates:
Dy 0.000 0.250 0.042 [4 per cell]
Cu 0.000 0.050 0.665 [8 per cell]

***

6.
Pr2Ga5Cu3: simulated X-ray powder pattern (Cu Kα (λ = 1.5418 Å)), based on the PBE geometry in the Materials Project.
Peak positions follow from Bragg's law for the DFT cell and can differ from measured ones.

Main lines, by angle (10 to 90 degrees two-theta):
| two_theta | I/Imax | h k l |
| --- | --- | --- |
| 29.6 | 201 | 1 1 0 |
| 33.7 | 763 | 1 0 3 |
| 34.6 | 1000 | 1 1 2 |
| 42.4 | 638 | 2 0 0 |
| 49.6 | 269 | 1 0 5 |
| 55.2 | 368 | 2 1 3 |
| 61.5 | 204 | 2 2 0 |
| 62.8 | 154 | 1 1 6 |
| 67.2 | 212 | 2 1 5 |
| 72.5 | 217 | 3 1 2 |

Lattice parameters (Å, degrees): 4.265 4.265 10.184 90.00 90.00 90.00
Space group P-4m2 (No. 115)
Inequivalent atoms, fractional coordinates:
Pr 0.000 0.500 0.247 [2 per cell]
Ga 0.000 0.000 0.500 [1 per cell]
Ga 0.000 0.500 0.632 [2 per cell]
Ga 0.000 0.500 0.879 [2 per cell]
Cu 0.000 0.000 0.000 [1 per cell]
Cu 0.500 0.500 0.000 [1 per cell]
Cu 0.500 0.500 0.500 [1 per cell]

***

7.
CeO: simulated X-ray powder pattern (Cu Kα (λ = 1.5418 Å)), based on the PBE geometry in the Materials Project.
Peak positions follow from Bragg's law for the DFT cell and can differ from measured ones.

Main lines, by angle (10 to 90 degrees two-theta):
| two_theta | I/Imax | h k l |
| --- | --- | --- |
| 31.1 | 1000 | 1 1 1 |
| 36.0 | 823 | 2 0 0 |
| 51.9 | 562 | 2 2 0 |
| 61.7 | 449 | 3 1 1 |
| 64.8 | 187 | 2 2 2 |
| 76.4 | 86 | 4 0 0 |
| 84.8 | 192 | 3 3 1 |
| 87.5 | 247 | 4 2 0 |

Lattice parameters (Å, degrees): 4.986 4.986 4.986 90.00 90.00 90.00
Space group Fm-3m (No. 225)
Inequivalent atoms, fractional coordinates:
Ce 0.000 0.000 0.000 [4 per cell]
O 0.000 0.000 0.500 [4 per cell]